Simulated powder XRD pattern of LiCSN for Cu Kα (λ = 1.5418 Å), from a DFT-relaxed cell (PBE, the Materials Project).
Kinematic intensities with the Lorentz-polarization factor, no thermal factor.

Atomic structure:
a = 12.3431 Å, b = 3.8588 Å, c = 5.3454 Å
α = 90.00°, β = 90.00°, γ = 90.00°
Atoms (fractional coordinates):
Li 0.0988 0.2500 0.0614
Li 0.4012 0.7500 0.5614
Li 0.5988 0.2500 0.4386
Li 0.9012 0.7500 0.9386
C 0.1095 0.7500 0.6104
C 0.3905 0.2500 0.1104
C 0.6095 0.7500 0.8896
C 0.8905 0.2500 0.3896
S 0.1858 0.7500 0.3623
S 0.3142 0.2500 0.8623
S 0.6858 0.7500 0.1377
S 0.8142 0.2500 0.6377
N 0.0547 0.7500 0.7942
N 0.4453 0.2500 0.2942
N 0.5547 0.7500 0.7058
N 0.9453 0.2500 0.2058

Largest 6 diffraction maxima, in order of falling intensity, 2θ from 10° to 90°:
2θ = 27.28°, I 100, (2 1 0); 2θ = 29.45°, I 53, (1 1 1); 2θ = 32.07°, I 51, (2 1 1); 2θ = 33.53°, I 41, (4 0 1); 2θ = 47.10°, I 16, (0 2 0); 2θ = 46.88°, I 13, (3 1 2)